This entry pairs a crystal structure of K3Sn2Hg4 with its simulated PXRD pattern. Radiation: Cu Kα, 1.54184 Å. Structure: the PBE geometry in Alexandria.
Neutral-atom scattering factors, no anomalous dispersion.

Top 10 peaks for 2θ = 10–90°, in order of rising 2θ:
hkl 0 1 -1, 2θ = 15.5°, I = 100; hkl 1 -1 1, 2θ = 20.9°, I = 33; hkl 1 -2 0, 2θ = 28.3°, I = 31; hkl 1 1 1, 2θ = 30.8°, I = 37; hkl 1 1 -2, 2θ = 31.4°, I = 38; hkl -1 1 3, 2θ = 34.1°, I = 73; hkl -1 2 2, 2θ = 35.5°, I = 28; hkl 2 -1 0, 2θ = 36.7°, I = 37; hkl 1 -1 4, 2θ = 39.6°, I = 33; hkl 0 3 -4, 2θ = 52.2°, I = 29

```
data_K3Sn2Hg4
_cell_length_a 4.8995
_cell_length_b 6.7231
_cell_length_c 10.2773
_cell_angle_alpha 99.39
_cell_angle_beta 90.03
_cell_angle_gamma 111.32
_symmetry_space_group_name_H-M 'P -1'
_symmetry_Int_Tables_number 2
loop_
_symmetry_equiv_pos_as_xyz
'x,y,z'
'-x,-y,-z'
loop_
_atom_site_label
_atom_site_type_symbol
_atom_site_fract_x
_atom_site_fract_y
_atom_site_fract_z
_atom_site_occupancy
K1 K 0.0000 0.0000 0.0000 1
K2 K 0.3812 0.7612 0.6213 1
Sn1 Sn 0.3000 0.6019 0.2263 1
Hg1 Hg 0.0885 0.1765 0.6299 1
Hg2 Hg 0.2915 0.5823 0.9250 1
```

This entry pairs a crystal structure of K3SnHg3 with its simulated PXRD pattern. Radiation: Cu Kα, 1.54184 Å. Structure: the PBE geometry in Alexandria.
Neutral-atom scattering factors, no anomalous dispersion.

Top 10 peaks for 2θ = 10–90°, in order of rising 2θ:
hkl 2 0 -1, 2θ = 13.9°, I = 44; hkl 1 1 0, 2θ = 19.2°, I = 100; hkl 2 0 2, 2θ = 21.5°, I = 24; hkl 2 0 -4, 2θ = 22.0°, I = 28; hkl 1 1 -4, 2θ = 27.4°, I = 38; hkl 3 1 -1, 2θ = 27.6°, I = 28; hkl 3 1 -4, 2θ = 31.1°, I = 30; hkl 4 0 -5, 2θ = 33.1°, I = 31; hkl 3 1 2, 2θ = 33.6°, I = 85; hkl 0 2 0, 2θ = 35.7°, I = 52

```
data_K3SnHg3
_cell_length_a 12.7309
_cell_length_b 5.0311
_cell_length_c 17.1183
_cell_angle_alpha 90.00
_cell_angle_beta 110.52
_cell_angle_gamma 90.00
_symmetry_space_group_name_H-M 'C 1 2/m 1'
_symmetry_Int_Tables_number 12
loop_
_symmetry_equiv_pos_as_xyz
'x,y,z'
'-x,-y,-z'
'-x,y,-z'
'x,-y,z'
'x+1/2,y+1/2,z'
'-x+1/2,-y+1/2,-z'
'-x+1/2,y+1/2,-z'
'x+1/2,-y+1/2,z'
loop_
_atom_site_label
_atom_site_type_symbol
_atom_site_fract_x
_atom_site_fract_y
_atom_site_fract_z
_atom_site_occupancy
K1 K 0.0235 0.0000 0.3845 1
K2 K 0.1077 0.0000 0.9213 1
K3 K 0.2439 0.5000 0.7627 1
Sn1 Sn 0.2440 0.5000 0.4057 1
Hg1 Hg 0.0459 0.5000 0.2372 1
Hg2 Hg 0.1037 0.5000 0.0795 1
Hg3 Hg 0.1284 0.5000 0.5368 1
```

This entry pairs a crystal structure of K3Sn5Hg2 with its simulated PXRD pattern. Radiation: Cu Kα, 1.54184 Å. Structure: the PBE geometry in Alexandria.
Neutral-atom scattering factors, no anomalous dispersion.

Top 10 peaks for 2θ = 10–90°, in order of rising 2θ:
hkl 0 2 0, 2θ = 11.7°, I = 19; hkl 1 2 1, 2θ = 18.1°, I = 100; hkl 2 0 2, 2θ = 27.6°, I = 41; hkl 3 2 1, 2θ = 27.8°, I = 44; hkl 2 4 0, 2θ = 27.9°, I = 37; hkl 0 4 2, 2θ = 33.4°, I = 88; hkl 4 0 2, 2θ = 38.1°, I = 46; hkl 4 4 0, 2θ = 38.3°, I = 48; hkl 5 2 1, 2θ = 41.2°, I = 28; hkl 4 4 4, 2θ = 62.6°, I = 20

```
data_K3Sn5Hg2
_cell_length_a 12.0063
_cell_length_b 15.0846
_cell_length_c 7.6556
_cell_angle_alpha 90.00
_cell_angle_beta 90.00
_cell_angle_gamma 90.00
_symmetry_space_group_name_H-M 'I b a m'
_symmetry_Int_Tables_number 72
_symmetry_space_group_name_Hall '-I 2 2c'
loop_
_atom_site_label
_atom_site_type_symbol
_atom_site_fract_x
_atom_site_fract_y
_atom_site_fract_z
_atom_site_occupancy
K1 K 0.0000 0.0000 0.2500 1
K2 K 0.2295 0.3724 0.0000 1
Sn1 Sn 0.0000 0.2418 0.2500 1
Sn2 Sn 0.0000 0.5000 0.2500 1
Sn3 Sn 0.1159 0.3717 0.5000 1
Hg1 Hg 0.1469 0.1486 0.0000 1
```

This entry pairs a crystal structure of K3SnHg2 with its simulated PXRD pattern. Radiation: Cu Kα, 1.54184 Å. Structure: the PBE geometry in Alexandria.
Neutral-atom scattering factors, no anomalous dispersion.

Top 10 peaks for 2θ = 10–90°, in order of rising 2θ:
hkl 2 0 0, 2θ = 15.7°, I = 17; hkl 0 2 0, 2θ = 16.9°, I = 63; hkl 1 1 1, 2θ = 17.1°, I = 100; hkl 1 3 1, 2θ = 29.6°, I = 41; hkl 2 0 2, 2θ = 29.9°, I = 31; hkl 1 1 -3, 2θ = 32.0°, I = 16; hkl 4 0 -2, 2θ = 32.9°, I = 19; hkl 3 1 -3, 2θ = 35.4°, I = 24; hkl 4 2 -2, 2θ = 37.2°, I = 26; hkl 2 2 -4, 2θ = 45.3°, I = 16

```
data_K3SnHg2
_cell_length_a 11.7670
_cell_length_b 10.5035
_cell_length_c 8.6998
_cell_angle_alpha 90.00
_cell_angle_beta 106.22
_cell_angle_gamma 90.00
_symmetry_space_group_name_H-M 'C 1 2/c 1'
_symmetry_Int_Tables_number 15
loop_
_symmetry_equiv_pos_as_xyz
'x,y,z'
'-x,-y,-z'
'-x,y,-z+1/2'
'x,-y,z+1/2'
'x+1/2,y+1/2,z'
'-x+1/2,-y+1/2,-z'
'-x+1/2,y+1/2,-z+1/2'
'x+1/2,-y+1/2,z+1/2'
loop_
_atom_site_label
_atom_site_type_symbol
_atom_site_fract_x
_atom_site_fract_y
_atom_site_fract_z
_atom_site_occupancy
K1 K 0.0000 0.1496 0.2500 1
K2 K 0.1950 0.4375 0.9874 1
Sn1 Sn 0.0000 0.1951 0.7500 1
Hg1 Hg 0.1960 0.2390 0.6332 1
```

This entry pairs a crystal structure of KSnHgTe2 with its simulated PXRD pattern. Radiation: Cu Kα, 1.54184 Å. Structure: the PBE geometry in Alexandria.
Neutral-atom scattering factors, no anomalous dispersion.

Top 10 peaks for 2θ = 10–90°, in order of rising 2θ:
hkl 1 0 -1, 2θ = 10.9°, I = 68; hkl 2 0 -2, 2θ = 21.8°, I = 49; hkl 0 1 1, 2θ = 23.1°, I = 55; hkl 1 1 -2, 2θ = 27.8°, I = 91; hkl 0 1 2, 2θ = 28.3°, I = 83; hkl 3 0 0, 2θ = 29.1°, I = 100; hkl 1 1 -3, 2θ = 34.1°, I = 64; hkl 1 0 -4, 2θ = 35.8°, I = 71; hkl 0 2 0, 2θ = 42.8°, I = 44; hkl 2 1 3, 2θ = 45.4°, I = 48

```
data_KSnHgTe2
_cell_length_a 9.8125
_cell_length_b 4.2241
_cell_length_c 10.0706
_cell_angle_alpha 90.00
_cell_angle_beta 110.02
_cell_angle_gamma 90.00
_symmetry_space_group_name_H-M 'P 1 21/m 1'
_symmetry_Int_Tables_number 11
loop_
_symmetry_equiv_pos_as_xyz
'x,y,z'
'-x,-y,-z'
'-x,y+1/2,-z'
'x,-y+1/2,z'
loop_
_atom_site_label
_atom_site_type_symbol
_atom_site_fract_x
_atom_site_fract_y
_atom_site_fract_z
_atom_site_occupancy
K1 K 0.1913 0.2500 0.1792 1
Sn1 Sn 0.1300 0.2500 0.6711 1
Hg1 Hg 0.4821 0.2500 0.7413 1
Te1 Te 0.1875 0.7500 0.4650 1
Te2 Te 0.1919 0.7500 0.8920 1
```

This entry pairs a crystal structure of KSr5Hg6 with its simulated PXRD pattern. Radiation: Cu Kα, 1.54184 Å. Structure: the PBE geometry in Alexandria.
Neutral-atom scattering factors, no anomalous dispersion.

Top 10 peaks for 2θ = 10–90°, in order of rising 2θ:
hkl 1 3 0, 2θ = 22.0°, I = 21; hkl 0 0 2, 2θ = 22.3°, I = 10; hkl 2 0 0, 2θ = 31.3°, I = 51; hkl 1 3 2, 2θ = 31.5°, I = 100; hkl 2 0 2, 2θ = 38.8°, I = 10; hkl 2 6 0, 2θ = 44.9°, I = 19; hkl 3 3 2, 2θ = 55.9°, I = 39; hkl 2 0 4, 2θ = 56.2°, I = 19; hkl 2 6 4, 2θ = 65.8°, I = 12; hkl 4 6 0, 2θ = 74.3°, I = 13

```
data_KSr5Hg6
_cell_length_a 5.7074
_cell_length_b 17.1610
_cell_length_c 7.9811
_cell_angle_alpha 90.00
_cell_angle_beta 90.00
_cell_angle_gamma 90.00
_symmetry_space_group_name_H-M 'C m m m'
_symmetry_Int_Tables_number 65
_symmetry_space_group_name_Hall '-C 2 2'
loop_
_atom_site_label
_atom_site_type_symbol
_atom_site_fract_x
_atom_site_fract_y
_atom_site_fract_z
_atom_site_occupancy
K1 K 0.0000 0.0000 0.0000 1
Sr1 Sr 0.0000 0.0000 0.5000 1
Sr2 Sr 0.0000 0.3335 0.5000 1
Sr3 Sr 0.0000 0.3349 0.0000 1
Hg1 Hg 0.0000 0.1705 0.2547 1
Hg2 Hg 0.0000 0.5000 0.2613 1
```

What did the sixth record say?
This entry pairs a crystal structure of KSr5Hg6 with its simulated PXRD pattern. Radiation: Cu Kα, 1.54184 Å. Structure: the PBE geometry in Alexandria.
Neutral-atom scattering factors, no anomalous dispersion.

Top 10 peaks for 2θ = 10–90°, in order of rising 2θ:
hkl 1 3 0, 2θ = 22.0°, I = 21; hkl 0 0 2, 2θ = 22.3°, I = 10; hkl 2 0 0, 2θ = 31.3°, I = 51; hkl 1 3 2, 2θ = 31.5°, I = 100; hkl 2 0 2, 2θ = 38.8°, I = 10; hkl 2 6 0, 2θ = 44.9°, I = 19; hkl 3 3 2, 2θ = 55.9°, I = 39; hkl 2 0 4, 2θ = 56.2°, I = 19; hkl 2 6 4, 2θ = 65.8°, I = 12; hkl 4 6 0, 2θ = 74.3°, I = 13

```
data_KSr5Hg6
_cell_length_a 5.7074
_cell_length_b 17.1610
_cell_length_c 7.9811
_cell_angle_alpha 90.00
_cell_angle_beta 90.00
_cell_angle_gamma 90.00
_symmetry_space_group_name_H-M 'C m m m'
_symmetry_Int_Tables_number 65
_symmetry_space_group_name_Hall '-C 2 2'
loop_
_atom_site_label
_atom_site_type_symbol
_atom_site_fract_x
_atom_site_fract_y
_atom_site_fract_z
_atom_site_occupancy
K1 K 0.0000 0.0000 0.0000 1
Sr1 Sr 0.0000 0.0000 0.5000 1
Sr2 Sr 0.0000 0.3335 0.5000 1
Sr3 Sr 0.0000 0.3349 0.0000 1
Hg1 Hg 0.0000 0.1705 0.2547 1
Hg2 Hg 0.0000 0.5000 0.2613 1
```